[1]
Structure and simulated powder diffractogram of MgNpNbO6 (a crystal structure in Alexandria, relaxed with GGA-PBE; CuKα).

Peak list (8 most intense, 2θ from 10° to 90°, by angle)
hkl  2θ (°)  intensity
1 0 0  18.71  641
0 0 2  19.73  914
1 0 1  21.17  578
1 0 2  27.32  937
1 1 0  32.70  745
1 1 2  38.48  1000
1 1 4  52.65  666
3 0 0  58.37  291

Cell and atoms:
Unit cell a=5.4766 b=5.4766 c=9.0002 alpha=90.00 beta=90.00 gamma=120.00
Space group P-31c (No. 163)
Asymmetric unit:
Mg 0.0000 0.0000 0.0000 x2
Np 0.3333 0.6667 0.2500 x2
Nb 0.3333 0.6667 0.7500 x2
O 0.0145 0.3523 0.6324 x12

***

[2]
Structure and simulated powder diffractogram of Mg3Nb6O11 (a crystal structure in Alexandria, relaxed with GGA-PBE; CuKα).

Peak list (8 most intense, 2θ from 10° to 90°, by angle)
hkl  2θ (°)  intensity
0 0 1  11.71  794
1 0 0  16.74  341
0 1 1  20.48  286
1 0 2  29.03  287
2 0 1  35.93  561
0 2 2  41.65  1000
2 0 4  60.18  321
2 2 0  60.56  312

Cell and atoms:
Unit cell a=6.1160 b=6.1160 c=7.5548 alpha=90.00 beta=90.00 gamma=120.00
Space group P-3m1 (No. 164)
Asymmetric unit:
Mg 0.0000 0.0000 0.0000 x1
Mg 0.3333 0.6667 0.0769 x2
Nb 0.1544 0.3089 0.6528 x6
O 0.0000 0.5000 0.5000 x3
O 0.1560 0.3120 0.1733 x6
O 0.3333 0.6667 0.8135 x2

***

[3]
Structure and simulated powder diffractogram of MgNb3O8 (a crystal structure in Alexandria, relaxed with GGA-PBE; CuKα).

Peak list (8 most intense, 2θ from 10° to 90°, by angle)
hkl  2θ (°)  intensity
0 0 1  13.49  476
2 0 -1  16.57  265
2 0 1  22.47  283
1 1 0  23.67  1000
0 0 2  27.16  516
4 0 -1  28.09  267
3 1 -1  31.59  306
0 2 0  46.02  374

Cell and atoms:
Unit cell a=12.922 b=3.946 c=6.867 alpha=90.00 beta=107.05 gamma=90.00
Space group Cm (No. 8)
Asymmetric unit:
Mg 0.000 0.000 0.000 x2
Nb 0.094 0.000 0.575 x2
Nb 0.299 0.000 0.018 x2
Nb 0.396 0.000 0.605 x2
O 0.061 0.000 0.303 x2
O 0.061 0.500 0.610 x2
O 0.147 0.000 0.930 x2
O 0.252 0.000 0.656 x2
O 0.328 0.500 0.013 x2
O 0.336 0.000 0.314 x2
O 0.439 0.500 0.641 x2
O 0.446 0.000 0.930 x2

***

What did the third record say?
Structure and simulated powder diffractogram of MgNb3O8 (a crystal structure in Alexandria, relaxed with GGA-PBE; CuKα).

Peak list (8 most intense, 2θ from 10° to 90°, by angle)
hkl  2θ (°)  intensity
0 0 1  13.49  476
2 0 -1  16.57  265
2 0 1  22.47  283
1 1 0  23.67  1000
0 0 2  27.16  516
4 0 -1  28.09  267
3 1 -1  31.59  306
0 2 0  46.02  374

Cell and atoms:
Unit cell a=12.922 b=3.946 c=6.867 alpha=90.00 beta=107.05 gamma=90.00
Space group Cm (No. 8)
Asymmetric unit:
Mg 0.000 0.000 0.000 x2
Nb 0.094 0.000 0.575 x2
Nb 0.299 0.000 0.018 x2
Nb 0.396 0.000 0.605 x2
O 0.061 0.000 0.303 x2
O 0.061 0.500 0.610 x2
O 0.147 0.000 0.930 x2
O 0.252 0.000 0.656 x2
O 0.328 0.500 0.013 x2
O 0.336 0.000 0.314 x2
O 0.439 0.500 0.641 x2
O 0.446 0.000 0.930 x2

***

Which formula does entry 2 have? Mg3Nb6O11